Calculated powder XRD pattern of Mg6SnBiO8 for Cu Kα (weighted mean of Kα1 and Kα2), from a GGA-PBE-relaxed structure.
Intensities are scaled so that the largest is 100.

Main lines, by angle (2θ = 5–70°):
2θ (°), Rel. int., hkl
9.64, 100, 0 0 1
19.35, 31, 0 0 2
27.11, 26, 1 1 0
28.84, 47, 1 1 1
29.20, 19, 0 0 3
33.53, 48, 1 1 2
38.72, 51, 2 0 0
39.28, 22, 0 0 4
49.22, 18, 2 0 3
56.34, 29, 2 0 4

Cell and atoms:
```
data_Mg6SnBiO8
_chemical_formula_sum 'Mg6 Sn1 Bi1 O8'
_symmetry_space_group_name_H-M 'P 1'
_symmetry_Int_Tables_number 1
_symmetry_space_group_name_Hall 'P 1'
_cell_length_a 4.6508
_cell_length_b 4.6508
_cell_length_c 9.1748
_cell_angle_alpha 90.00
_cell_angle_beta 90.00
_cell_angle_gamma 90.00
loop_
_atom_site_label
_atom_site_type_symbol
_atom_site_fract_x
_atom_site_fract_y
_atom_site_fract_z
Mg1 Mg 0.0000 0.0000 0.0000
Mg2 Mg 0.0000 0.5000 0.2232
Mg3 Mg 0.0000 0.5000 0.7768
Mg4 Mg 0.5000 0.0000 0.2232
Mg5 Mg 0.5000 0.0000 0.7768
Mg6 Mg 0.5000 0.5000 0.0000
Sn1 Sn 0.0000 0.0000 0.5000
Bi1 Bi 0.5000 0.5000 0.5000
O1 O 0.0000 0.0000 0.2229
O2 O 0.0000 0.0000 0.7771
O3 O 0.0000 0.5000 0.0000
O4 O 0.0000 0.5000 0.5000
O5 O 0.5000 0.0000 0.0000
O6 O 0.5000 0.0000 0.5000
O7 O 0.5000 0.5000 0.2232
O8 O 0.5000 0.5000 0.7768
```

Calculated powder XRD pattern of Mg6SnBiO8 for Cu Kα (weighted mean of Kα1 and Kα2), from a GGA-PBE-relaxed structure.
Intensities are scaled so that the largest is 100.

Main lines, by angle (2θ = 5–70°):
2θ (°), Rel. int., hkl
19.10, 76, 1 0 0
19.23, 38, 0 0 2
27.21, 100, 1 1 0
33.48, 63, 1 1 2
38.77, 66, 2 0 0
39.03, 32, 0 0 4
43.59, 39, 2 0 2
48.03, 30, 2 1 2
55.99, 21, 2 2 0
56.19, 42, 2 0 4

Cell and atoms:
```
data_Mg6SnBiO8
_chemical_formula_sum 'Mg6 Sn1 Bi1 O8'
_symmetry_space_group_name_H-M 'P 1'
_symmetry_Int_Tables_number 1
_symmetry_space_group_name_Hall 'P 1'
_cell_length_a 4.6455
_cell_length_b 4.6455
_cell_length_c 9.2302
_cell_angle_alpha 90.00
_cell_angle_beta 90.00
_cell_angle_gamma 90.00
loop_
_atom_site_label
_atom_site_type_symbol
_atom_site_fract_x
_atom_site_fract_y
_atom_site_fract_z
Mg1 Mg 0.0000 0.0000 0.0000
Mg2 Mg 0.0000 0.0000 0.5000
Mg3 Mg 0.0000 0.5000 0.2443
Mg4 Mg 0.0000 0.5000 0.7557
Mg5 Mg 0.5000 0.0000 0.2443
Mg6 Mg 0.5000 0.0000 0.7557
Sn1 Sn 0.5000 0.5000 0.0000
Bi1 Bi 0.5000 0.5000 0.5000
O1 O 0.0000 0.0000 0.2456
O2 O 0.0000 0.0000 0.7544
O3 O 0.0000 0.5000 0.0000
O4 O 0.0000 0.5000 0.5000
O5 O 0.5000 0.0000 0.0000
O6 O 0.5000 0.0000 0.5000
O7 O 0.5000 0.5000 0.2455
O8 O 0.5000 0.5000 0.7545
```

Calculated powder XRD pattern of SrMg6BiO8 for Cu Kα (weighted mean of Kα1 and Kα2), from a GGA-PBE-relaxed structure.
Intensities are scaled so that the largest is 100.

Main lines, by angle (2θ = 5–70°):
2θ (°), Rel. int., hkl
9.56, 47, 0 0 1
18.97, 100, 1 0 0
19.18, 49, 0 0 2
26.95, 44, 1 1 0
27.11, 87, 1 0 2
33.29, 86, 1 1 2
38.49, 99, 2 0 0
38.93, 48, 0 0 4
47.71, 39, 2 1 2
55.90, 62, 2 0 4

Cell and atoms:
```
data_SrMg6BiO8
_chemical_formula_sum 'Sr1 Mg6 Bi1 O8'
_symmetry_space_group_name_H-M 'P 1'
_symmetry_Int_Tables_number 1
_symmetry_space_group_name_Hall 'P 1'
_cell_length_a 4.6782
_cell_length_b 4.6782
_cell_length_c 9.2542
_cell_angle_alpha 90.00
_cell_angle_beta 90.00
_cell_angle_gamma 90.00
loop_
_atom_site_label
_atom_site_type_symbol
_atom_site_fract_x
_atom_site_fract_y
_atom_site_fract_z
Sr1 Sr 0.0000 0.0000 0.0000
Mg1 Mg 0.0000 0.5000 0.2455
Mg2 Mg 0.0000 0.5000 0.7545
Mg3 Mg 0.5000 0.0000 0.2455
Mg4 Mg 0.5000 0.0000 0.7545
Mg5 Mg 0.5000 0.5000 0.0000
Mg6 Mg 0.5000 0.5000 0.5000
Bi1 Bi 0.0000 0.0000 0.5000
O1 O 0.0000 0.0000 0.2517
O2 O 0.0000 0.0000 0.7483
O3 O 0.0000 0.5000 0.0000
O4 O 0.0000 0.5000 0.5000
O5 O 0.5000 0.0000 0.0000
O6 O 0.5000 0.0000 0.5000
O7 O 0.5000 0.5000 0.2522
O8 O 0.5000 0.5000 0.7478
```

Calculated powder XRD pattern of SrMg6BiO8 for Cu Kα (weighted mean of Kα1 and Kα2), from a GGA-PBE-relaxed structure.
Intensities are scaled so that the largest is 100.

Main lines, by angle (2θ = 5–70°):
2θ (°), Rel. int., hkl
9.22, 100, 0 0 1
18.49, 39, 0 0 2
27.42, 27, 1 1 0
27.89, 27, 0 0 3
28.98, 50, 1 1 1
33.27, 53, 1 1 2
37.49, 27, 0 0 4
39.16, 60, 2 0 0
48.76, 23, 2 0 3
55.33, 32, 2 0 4

Cell and atoms:
```
data_SrMg6BiO8
_chemical_formula_sum 'Sr1 Mg6 Bi1 O8'
_symmetry_space_group_name_H-M 'P 1'
_symmetry_Int_Tables_number 1
_symmetry_space_group_name_Hall 'P 1'
_cell_length_a 4.6004
_cell_length_b 4.6004
_cell_length_c 9.5966
_cell_angle_alpha 90.00
_cell_angle_beta 90.00
_cell_angle_gamma 90.00
loop_
_atom_site_label
_atom_site_type_symbol
_atom_site_fract_x
_atom_site_fract_y
_atom_site_fract_z
Sr1 Sr 0.0000 0.0000 0.0000
Mg1 Mg 0.0000 0.0000 0.5000
Mg2 Mg 0.0000 0.5000 0.2875
Mg3 Mg 0.0000 0.5000 0.7125
Mg4 Mg 0.5000 0.0000 0.2875
Mg5 Mg 0.5000 0.0000 0.7125
Mg6 Mg 0.5000 0.5000 0.5000
Bi1 Bi 0.5000 0.5000 0.0000
O1 O 0.0000 0.0000 0.2793
O2 O 0.0000 0.0000 0.7207
O3 O 0.0000 0.5000 0.0000
O4 O 0.0000 0.5000 0.5000
O5 O 0.5000 0.0000 0.0000
O6 O 0.5000 0.0000 0.5000
O7 O 0.5000 0.5000 0.2896
O8 O 0.5000 0.5000 0.7104
```

Calculated powder XRD pattern of MgTaBiO5 for Cu Kα (weighted mean of Kα1 and Kα2), from a GGA-PBE-relaxed structure.
Intensities are scaled so that the largest is 100.

Main lines, by angle (2θ = 5–70°):
2θ (°), Rel. int., hkl
17.72, 58, 1 0 0
24.32, 100, 1 1 -2
25.10, 21, 0 3 1
28.89, 80, 1 2 1
29.78, 26, 0 4 0
32.31, 46, 1 3 -2
33.96, 26, 2 1 -1
35.88, 22, 0 1 3
41.38, 22, 2 3 -2
44.79, 25, 2 2 1

Cell and atoms:
```
data_MgTaBiO5
_chemical_formula_sum 'Mg4 Ta4 Bi4 O20'
_symmetry_space_group_name_H-M 'P 1'
_symmetry_Int_Tables_number 1
_symmetry_space_group_name_Hall 'P 1'
_cell_length_a 5.4238
_cell_length_b 12.0018
_cell_length_c 8.3194
_cell_angle_alpha 90.00
_cell_angle_beta 112.64
_cell_angle_gamma 90.00
loop_
_atom_site_label
_atom_site_type_symbol
_atom_site_fract_x
_atom_site_fract_y
_atom_site_fract_z
Mg1 Mg 0.0473 0.0772 0.1711
Mg2 Mg 0.0473 0.4228 0.6711
Mg3 Mg 0.9527 0.5772 0.3289
Mg4 Mg 0.9527 0.9228 0.8289
Ta1 Ta 0.3156 0.6445 0.0310
Ta2 Ta 0.3156 0.8555 0.5310
Ta3 Ta 0.6844 0.1445 0.4690
Ta4 Ta 0.6844 0.3555 0.9690
Bi1 Bi 0.4467 0.0935 0.8341
Bi2 Bi 0.4467 0.4065 0.3341
Bi3 Bi 0.5533 0.5935 0.6659
Bi4 Bi 0.5533 0.9065 0.1659
O1 O 0.1778 0.7100 0.4816
O2 O 0.1778 0.7900 0.9816
O3 O 0.1973 0.5615 0.1813
O4 O 0.1973 0.9385 0.6813
O5 O 0.2580 0.0268 0.0145
O6 O 0.2580 0.4732 0.5145
O7 O 0.2710 0.5656 0.8252
O8 O 0.2710 0.9344 0.3252
O9 O 0.3295 0.1757 0.3500
O10 O 0.3295 0.3243 0.8500
O11 O 0.6705 0.6757 0.1500
O12 O 0.6705 0.8243 0.6500
O13 O 0.7290 0.0656 0.6748
O14 O 0.7290 0.4344 0.1748
O15 O 0.7420 0.5268 0.4855
O16 O 0.7420 0.9732 0.9855
O17 O 0.8027 0.0615 0.3187
O18 O 0.8027 0.4385 0.8187
O19 O 0.8222 0.2100 0.0184
O20 O 0.8222 0.2900 0.5184
```